Starting from DFT lattice parameters and positions (PBE), the powder diffractogram of Pr3HoAg2 was calculated for λ = 1.5418 Å (Cu Kα).
No peak broadening, texture or thermal motion is included.

Atomic structure:
```
data_Pr3HoAg2
_cell_length_a 5.2863
_cell_length_b 9.5052
_cell_length_c 7.0071
_cell_angle_alpha 90.00
_cell_angle_beta 90.00
_cell_angle_gamma 90.00
_space_group_name_H-M_alt 'P m c 21'
_space_group_IT_number 26
loop_
_space_group_symop_operation_xyz
'x,y,z'
'-x,-y,z+1/2'
'-x,y,z'
'x,-y,z+1/2'
loop_
_atom_site_label
_atom_site_type_symbol
_atom_site_fract_x
_atom_site_fract_y
_atom_site_fract_z
Pr1 Pr 0.0000 0.0602 0.0000
Pr2 Pr 0.0000 0.3368 0.3442
Pr3 Pr 0.5000 0.1715 0.6664
Ho1 Ho 0.5000 0.4410 0.0157
Ag1 Ag 0.0000 0.3492 0.7852
Ag2 Ag 0.5000 0.1593 0.2283
```

Peak list (10 most intense, 2θ = 15–90°, low angle first)
| d [Å] | I (rel.) | hkl |
| --- | --- | --- |
| 3.156 | 58 | 1 2 1 |
| 2.920 | 35 | 1 0 2 |
| 2.887 | 21 | 0 3 1 |
| 2.820 | 32 | 0 2 2 |
| 2.792 | 100 | 1 1 2 |
| 2.718 | 87 | 1 3 0 |
| 2.643 | 67 | 2 0 0 |
| 2.350 | 17 | 0 3 2 |
| 1.929 | 21 | 2 2 2 |
| 1.589 | 19 | 1 4 3 |

---

Starting from DFT lattice parameters and positions (PBE), the powder diffractogram of PrHo4Ag was calculated for λ = 1.5418 Å (Cu Kα).
No peak broadening, texture or thermal motion is included.

Atomic structure:
```
data_PrHo4Ag
_cell_length_a 3.5789
_cell_length_b 3.5789
_cell_length_c 13.8603
_cell_angle_alpha 90.00
_cell_angle_beta 90.00
_cell_angle_gamma 90.00
_space_group_name_H-M_alt 'P 4/m m m'
_space_group_IT_number 123
_space_group_name_Hall '-P 4 2'
loop_
_atom_site_label
_atom_site_type_symbol
_atom_site_fract_x
_atom_site_fract_y
_atom_site_fract_z
Pr1 Pr 0.0000 0.0000 0.0000
Ho1 Ho 0.0000 0.0000 0.3653
Ho2 Ho 0.5000 0.5000 0.1851
Ag1 Ag 0.5000 0.5000 0.5000
```

Peak list (10 most intense, 2θ = 15–90°, low angle first)
| d [Å] | I (rel.) | hkl |
| --- | --- | --- |
| 3.180 | 9 | 1 0 2 |
| 2.829 | 100 | 1 0 3 |
| 2.531 | 44 | 1 1 0 |
| 1.869 | 10 | 1 1 5 |
| 1.789 | 16 | 2 0 0 |
| 1.706 | 12 | 1 1 6 |
| 1.559 | 16 | 1 0 8 |
| 1.512 | 30 | 2 1 3 |
| 1.415 | 9 | 2 0 6 |
| 1.176 | 9 | 2 1 8 |

---

Starting from DFT lattice parameters and positions (PBE), the powder diffractogram of HoAg3Pt8 was calculated for λ = 1.5418 Å (Cu Kα).
No peak broadening, texture or thermal motion is included.

Atomic structure:
```
data_HoAg3Pt8
_cell_length_a 5.3312
_cell_length_b 5.3312
_cell_length_c 26.0957
_cell_angle_alpha 90.00
_cell_angle_beta 90.00
_cell_angle_gamma 120.00
_space_group_name_H-M_alt 'R 3 m'
_space_group_IT_number 160
_space_group_name_Hall 'R 3 -2"'
loop_
_atom_site_label
_atom_site_type_symbol
_atom_site_fract_x
_atom_site_fract_y
_atom_site_fract_z
Ho1 Ho 0.0000 0.0000 0.0000
Ag1 Ag 0.0000 0.0000 0.1281
Ag2 Ag 0.0000 0.0000 0.4986
Ag3 Ag 0.0000 0.0000 0.6200
Pt1 Pt 0.0000 0.0000 0.3124
Pt2 Pt 0.0000 0.0000 0.8126
Pt3 Pt 0.0006 0.5003 0.5627
Pt4 Pt 0.1671 0.3342 0.3956
```

Peak list (10 most intense, 2θ = 15–90°, low angle first)
| d [Å] | I (rel.) | hkl |
| --- | --- | --- |
| 4.352 | 24 | 0 0 6 |
| 2.665 | 16 | 1 1 0 |
| 2.273 | 100 | 2 0 2 |
| 2.176 | 55 | 0 2 4 |
| 1.884 | 13 | 2 0 8 |
| 1.729 | 6 | 0 1 14 |
| 1.451 | 32 | 3 0 6 |
| 1.332 | 30 | 2 2 0 |
| 1.149 | 11 | 0 4 2 |
| 1.136 | 22 | 2 0 20 |